1.
Computed powder diffraction line list
Compound: Y3As2O
Radiation: Cu Kα (λ = 1.5418 Å)
Structure: the PBE geometry in Alexandria

Peak list (10 most intense, 2θ = 15–90°, most intense first)
two_theta	intensity
30.35	1000
38.62	995
36.54	551
30.74	510
27.11	467
37.55	378
44.39	361
49.58	298
32.22	295
27.74	271

Structure:
```
Y3As2O
1.0
5.515 -3.681 0.000
5.515 3.681 0.000
0.000 0.000 6.610
Y As O
6 4 2
direct
0.114 0.886 0.500 Y
0.332 0.356 0.129 Y
0.356 0.332 0.629 Y
0.644 0.668 0.129 Y
0.668 0.644 0.629 Y
0.886 0.114 0.000 Y
0.013 0.665 0.864 As
0.335 0.987 0.864 As
0.665 0.013 0.364 As
0.987 0.335 0.364 As
0.406 0.594 0.390 O
0.594 0.406 0.890 O
```

***

2.
Computed powder diffraction line list
Compound: Y3AsO7
Radiation: Cu Kα (λ = 1.5418 Å)
Structure: the PBE geometry in Alexandria

Peak list (10 most intense, 2θ = 15–90°, most intense first)
two_theta	intensity
29.73	1000
49.56	396
58.79	254
34.42	180
80.46	108
58.95	107
34.55	77
49.40	66
82.92	54
61.67	42

Structure:
```
Y3AsO7
1.0
3.690 -5.193 0.000
3.690 5.193 0.000
0.000 0.000 7.361
Y As O
6 2 14
direct
0.018 0.018 0.000 Y
0.035 0.498 0.253 Y
0.498 0.035 0.747 Y
0.502 0.965 0.247 Y
0.965 0.502 0.753 Y
0.982 0.982 0.500 Y
0.499 0.499 0.500 As
0.501 0.501 0.000 As
0.130 0.870 0.750 O
0.137 0.863 0.250 O
0.192 0.431 0.974 O
0.199 0.444 0.531 O
0.431 0.192 0.026 O
0.441 0.559 0.250 O
0.444 0.199 0.469 O
0.556 0.801 0.969 O
0.559 0.441 0.750 O
0.569 0.808 0.526 O
0.801 0.556 0.031 O
0.808 0.569 0.474 O
0.863 0.137 0.750 O
0.870 0.130 0.250 O
```

***

3.
Computed powder diffraction line list
Compound: Zn3As2O6
Radiation: Cu Kα (λ = 1.5418 Å)
Structure: the PBE geometry in Alexandria

Peak list (10 most intense, 2θ = 15–90°, most intense first)
two_theta	intensity
30.37	1000
26.80	554
28.61	491
35.44	448
22.04	355
34.34	339
44.87	302
20.96	273
37.40	252
35.29	248

Structure:
```
Zn3As2O6
1.0
8.474 0.000 0.000
0.000 5.292 0.000
-2.143 0.000 16.119
Zn As O
12 8 24
direct
0.012 0.023 0.310 Zn
0.012 0.477 0.810 Zn
0.113 0.107 0.069 Zn
0.113 0.393 0.569 Zn
0.369 0.128 0.241 Zn
0.369 0.372 0.741 Zn
0.631 0.628 0.259 Zn
0.631 0.872 0.759 Zn
0.887 0.607 0.431 Zn
0.887 0.893 0.931 Zn
0.988 0.523 0.190 Zn
0.988 0.977 0.690 Zn
0.237 0.516 0.370 As
0.237 0.984 0.870 As
0.331 0.612 0.110 As
0.331 0.888 0.610 As
0.669 0.112 0.390 As
0.669 0.388 0.890 As
0.763 0.016 0.130 As
0.763 0.484 0.630 As
0.085 0.667 0.297 O
0.085 0.833 0.797 O
0.109 0.028 0.949 O
0.109 0.472 0.449 O
0.139 0.040 0.609 O
0.139 0.460 0.109 O
0.220 0.202 0.324 O
0.220 0.298 0.824 O
0.277 0.578 0.645 O
0.277 0.922 0.145 O
0.427 0.019 0.707 O
0.427 0.481 0.207 O
0.573 0.519 0.793 O
0.573 0.981 0.293 O
0.723 0.078 0.855 O
0.723 0.422 0.355 O
0.780 0.702 0.176 O
0.780 0.798 0.676 O
0.861 0.540 0.891 O
0.861 0.960 0.391 O
0.891 0.528 0.551 O
0.891 0.972 0.051 O
0.915 0.167 0.203 O
0.915 0.333 0.703 O
```

***

4.
Computed powder diffraction line list
Compound: ZnAs2O4
Radiation: Cu Kα (λ = 1.5418 Å)
Structure: the PBE geometry in Alexandria

Peak list (10 most intense, 2θ = 15–90°, most intense first)
two_theta	intensity
27.92	1000
29.52	466
46.45	460
37.45	456
55.47	327
33.09	324
34.27	195
64.09	179
53.04	165
66.01	155

Structure:
```
ZnAs2O4
1.0
8.560 0.000 0.000
0.000 8.560 0.000
0.000 0.000 5.803
Zn As O
4 8 16
direct
0.000 0.500 0.250 Zn
0.000 0.500 0.750 Zn
0.500 0.000 0.250 Zn
0.500 0.000 0.750 Zn
0.170 0.193 0.000 As
0.193 0.830 0.500 As
0.307 0.330 0.500 As
0.330 0.693 0.000 As
0.670 0.307 0.000 As
0.693 0.670 0.500 As
0.807 0.170 0.500 As
0.830 0.807 0.000 As
0.102 0.364 0.500 O
0.136 0.398 0.000 O
0.189 0.689 0.250 O
0.189 0.689 0.750 O
0.311 0.189 0.250 O
0.311 0.189 0.750 O
0.364 0.898 0.000 O
0.398 0.864 0.500 O
0.602 0.136 0.500 O
0.636 0.102 0.000 O
0.689 0.811 0.250 O
0.689 0.811 0.750 O
0.811 0.311 0.250 O
0.811 0.311 0.750 O
0.864 0.602 0.000 O
0.898 0.636 0.500 O
```